Calculated PXRD pattern
Compound: Al2Ag7Sn
Radiation: copper Kα
Structure: a structure optimized by DFT (GGA-PBE)

Principal peaks in the range 2θ from 5° to 70°, by angle:
- 23.59 deg, intensity 30
- 30.60 deg, intensity 41
- 33.64 deg, intensity 40
- 36.35 deg, intensity 50
- 39.12 deg, intensity 33
- 41.46 deg, intensity 100

Crystal structure
Lattice parameters (Å, degrees): 7.547 7.547 4.606 90.00 90.00 119.89
Atoms (fractional coordinates):
Al  0.199  0.801  0.000
Al  0.801  0.199  0.000
Ag  0.000  0.000  0.000
Ag  0.197  0.430  0.000
Ag  0.284  0.716  0.500
Ag  0.430  0.197  0.000
Ag  0.570  0.803  0.000
Ag  0.716  0.284  0.500
Ag  0.803  0.570  0.000
Sn  0.500  0.500  0.500